For Zn4SbIr, DFT lattice parameters and positions (PBE) gives the computed powder XRD pattern in this record (Cu Kα, 1.54184 Å).
Neutral-atom scattering factors, no anomalous dispersion.

Atomic structure:
```
6
Lattice="0.000 3.630 3.630 3.630 0.000 3.630 3.630 3.630 0.000" Properties=species:S:1:pos:R:3 pbc="T T T"
Zn 2.734 2.734 2.734
Zn 4.526 4.526 2.734
Zn 4.526 2.734 4.526
Zn 2.734 4.526 4.526
Sb 0.000 0.000 0.000
Ir 5.445 5.445 5.445
```

Top 6 peaks for 10 to 90 degrees two-theta, low angle first:
2θ = 34.96°, intensity 57
2θ = 41.24°, intensity 100
2θ = 43.17°, intensity 19
2θ = 62.69°, intensity 21
2θ = 66.98°, intensity 31
2θ = 73.84°, intensity 23